Entry 1:
For LiCdMoO5, the PBE+U geometry in the Materials Project gives the theoretical X-ray diffraction stick pattern in this record (Cu Ka).
Intensities are scaled so that the largest is 100.

Crystal structure
a b c (Å): 10.758 5.463 10.456
angles (deg): 90.00 114.18 90.00
Space group P2_1/c (No. 14)
Symmetry-distinct sites (fractional):
Li 0.180 0.131 0.059 x4
Cd 0.077 0.644 0.790 x4
Mo 0.445 0.539 0.840 x4
O 0.067 0.170 0.414 x4
O 0.119 0.001 0.885 x4
O 0.267 0.004 0.248 x4
O 0.432 0.670 0.011 x4
O 0.487 0.177 0.207 x4

Main lines, by angle (2θ from 15° to 90°):
index, 2theta, d_spacing, Rel. int.
1 0 -2, 17.02, 5.210, 48
2 0 0, 18.08, 4.907, 100
0 0 2, 18.60, 4.770, 85
0 1 1, 18.72, 4.741, 30
1 1 -1, 19.06, 4.656, 89
3 0 -2, 25.96, 3.432, 33
3 1 -1, 29.86, 2.992, 36
0 1 3, 32.58, 2.748, 26
0 2 1, 34.12, 2.628, 34
3 0 -4, 36.41, 2.468, 38

---

Entry 2:
For LiCdMoO5, the PBE+U geometry in the Materials Project gives the theoretical X-ray diffraction stick pattern in this record (Cu Ka).
Intensities are scaled so that the largest is 100.

Crystal structure
a b c (Å): 10.032 5.815 8.021
angles (deg): 90.00 105.24 90.00
Space group P2_1/c (No. 14)
Symmetry-distinct sites (fractional):
Li 0.051 0.081 0.350 x4
Cd 0.436 0.239 0.374 x4
Mo 0.188 0.582 0.534 x4
O 0.064 0.075 0.871 x4
O 0.132 0.629 0.043 x4
O 0.223 0.056 0.242 x4
O 0.351 0.572 0.473 x4
O 0.437 0.081 0.630 x4

Main lines, by angle (2θ from 15° to 90°):
index, 2theta, d_spacing, Rel. int.
0 1 1, 19.09, 4.649, 57
1 1 -1, 19.84, 4.475, 29
0 0 2, 22.98, 3.870, 28
2 1 0, 23.92, 3.720, 72
1 1 -2, 27.19, 3.279, 68
0 1 2, 27.68, 3.223, 100
3 0 -2, 31.10, 2.876, 68
3 1 0, 31.72, 2.821, 40
1 2 0, 32.14, 2.785, 36
1 3 2, 54.91, 1.672, 36

---

Entry 3:
For MgMn3Cd2O8, the PBE+U geometry in the Materials Project gives the theoretical X-ray diffraction stick pattern in this record (Cu Ka).
Intensities are scaled so that the largest is 100.

Crystal structure
a b c (Å): 10.901 6.174 5.358
angles (deg): 90.00 91.48 90.00
Space group Cm (No. 8)
Symmetry-distinct sites (fractional):
Mg 0.000 0.000 0.000 x2
Mn 0.285 0.249 0.134 x4
Mn 0.304 0.500 0.625 x2
Cd 0.022 0.500 0.602 x2
Cd 0.242 0.000 0.636 x2
O 0.176 0.000 0.021 x2
O 0.188 0.301 0.474 x4
O 0.210 0.500 0.943 x2
O 0.375 0.000 0.275 x2
O 0.388 0.500 0.295 x2
O 0.406 0.277 0.795 x4

Main lines, by angle (2θ from 15° to 90°):
index, 2theta, d_spacing, Rel. int.
2 0 0, 16.27, 5.449, 66
0 0 1, 16.54, 5.361, 61
1 1 1, 23.60, 3.769, 40
3 1 0, 28.51, 3.131, 37
4 0 0, 32.84, 2.727, 70
0 0 2, 33.45, 2.679, 47
0 2 1, 33.49, 2.675, 100
2 2 1, 37.67, 2.388, 40
4 2 1, 47.98, 1.896, 50
0 4 0, 59.87, 1.545, 46

---

Entry 4:
For MgMn9CdO10, the PBE+U geometry in the Materials Project gives the theoretical X-ray diffraction stick pattern in this record (Cu Ka).
Intensities are scaled so that the largest is 100.

Crystal structure
a b c (Å): 5.553 5.564 9.757
angles (deg): 93.43 96.46 108.68
Space group P1 (No. 1)
Symmetry-distinct sites (fractional):
Mg 0.000 0.000 0.000 x1
Mn 0.350 0.381 0.389 x1
Mn 0.382 0.903 0.539 x1
Mn 0.438 0.445 0.727 x1
Mn 0.482 0.981 0.875 x1
Mn 0.770 0.363 0.215 x1
Mn 0.829 0.862 0.383 x1
Mn 0.886 0.399 0.546 x1
Mn 0.930 0.930 0.702 x1
Mn 0.963 0.461 0.875 x1
Cd 0.301 0.808 0.175 x1
O 0.079 0.604 0.380 x1
O 0.127 0.138 0.528 x1
O 0.186 0.679 0.716 x1
O 0.208 0.194 0.860 x1
O 0.553 0.590 0.241 x1
O 0.600 0.127 0.377 x1
O 0.632 0.654 0.549 x1
O 0.675 0.187 0.706 x1
O 0.742 0.728 0.866 x1
O 0.795 0.219 0.026 x1

Main lines, by angle (2θ from 15° to 90°):
index, 2theta, d_spacing, Rel. int.
-1 1 3, 33.69, 2.660, 54
0 2 0, 34.20, 2.622, 35
2 0 -1, 34.41, 2.606, 57
1 -1 3, 34.79, 2.579, 57
1 1 2, 35.86, 2.504, 67
1 1 -3, 36.55, 2.459, 74
2 -2 0, 39.95, 2.257, 100
1 1 3, 42.68, 2.118, 42
1 1 -4, 43.50, 2.080, 35
2 2 -1, 56.83, 1.620, 36

---

Entry 5:
For MgMn3Cd2O8, the PBE+U geometry in the Materials Project gives the theoretical X-ray diffraction stick pattern in this record (Cu Ka).
Intensities are scaled so that the largest is 100.

Crystal structure
a b c (Å): 11.348 5.891 5.319
angles (deg): 90.00 103.19 90.00
Space group C2/m (No. 12)
Symmetry-distinct sites (fractional):
Mg 0.000 0.000 0.000 x2
Mn 0.000 0.249 0.500 x4
Mn 0.000 0.500 0.000 x2
Cd 0.248 0.500 0.800 x4
O 0.091 0.000 0.386 x4
O 0.097 0.500 0.412 x4
O 0.101 0.260 0.891 x8

Main lines, by angle (2θ from 15° to 90°):
index, 2theta, d_spacing, Rel. int.
1 1 -1, 22.90, 3.883, 72
1 1 1, 25.55, 3.486, 100
3 1 -1, 30.41, 2.939, 77
4 0 0, 32.41, 2.762, 42
2 2 0, 34.51, 2.599, 45
2 0 -2, 34.75, 2.582, 24
2 2 -1, 37.02, 2.428, 20
2 0 2, 41.77, 2.162, 52
4 2 -1, 45.51, 1.993, 49
2 2 -3, 61.18, 1.515, 29

---

Entry 6:
For MgMn3Cd2O8, the PBE+U geometry in the Materials Project gives the theoretical X-ray diffraction stick pattern in this record (Cu Ka).
Intensities are scaled so that the largest is 100.

Crystal structure
a b c (Å): 5.285 5.811 6.006
angles (deg): 116.31 90.32 92.52
Space group P-1 (No. 2)
Symmetry-distinct sites (fractional):
Mg 0.000 0.000 0.000 x1
Mn 0.017 0.274 0.721 x2
Mn 0.500 0.500 0.000 x1
Cd 0.476 0.809 0.679 x2
O 0.082 0.871 0.625 x2
O 0.183 0.346 0.050 x2
O 0.307 0.822 0.126 x2
O 0.350 0.419 0.680 x2

Main lines, by angle (2θ from 15° to 90°):
index, 2theta, d_spacing, Rel. int.
1 0 0, 16.80, 5.278, 39
1 -1 1, 24.19, 3.679, 27
1 1 -1, 24.78, 3.593, 32
0 1 -2, 29.85, 2.993, 27
0 2 -1, 30.84, 2.900, 60
-1 1 1, 32.70, 2.738, 65
2 0 0, 33.97, 2.639, 55
1 1 1, 34.12, 2.628, 42
1 -1 2, 34.46, 2.603, 100
2 2 -1, 47.57, 1.911, 31

---

Entry 7:
For MgMn9CdO10, the PBE+U geometry in the Materials Project gives the theoretical X-ray diffraction stick pattern in this record (Cu Ka).
Intensities are scaled so that the largest is 100.

Crystal structure
a b c (Å): 6.312 6.334 8.623
angles (deg): 72.77 71.64 61.00
Space group P1 (No. 1)
Symmetry-distinct sites (fractional):
Mg 0.000 0.000 0.000 x1
Mn 0.011 0.552 0.777 x1
Mn 0.091 0.553 0.405 x1
Mn 0.134 0.030 0.327 x1
Mn 0.472 0.506 0.950 x1
Mn 0.477 0.034 0.002 x1
Mn 0.520 0.600 0.522 x1
Mn 0.602 0.113 0.305 x1
Mn 0.837 0.121 0.662 x1
Mn 0.849 0.539 0.158 x1
Cd 0.382 0.065 0.640 x1
O 0.128 0.772 0.552 x1
O 0.260 0.347 0.180 x1
O 0.349 0.874 0.902 x1
O 0.427 0.340 0.786 x1
O 0.526 0.832 0.254 x1
O 0.754 0.296 0.392 x1
O 0.832 0.361 0.993 x1
O 0.860 0.462 0.619 x1
O 0.860 0.868 0.898 x1
O 0.974 0.871 0.236 x1

Main lines, by angle (2θ from 15° to 90°):
index, 2theta, d_spacing, Rel. int.
2 1 1, 28.31, 3.152, 31
2 0 1, 32.76, 2.734, 31
0 2 0, 32.85, 2.726, 100
2 2 2, 34.34, 2.612, 48
0 1 3, 34.57, 2.595, 29
2 1 -1, 35.23, 2.547, 22
2 0 2, 36.03, 2.493, 33
2 0 -1, 37.19, 2.418, 23
1 2 3, 37.42, 2.404, 30
0 1 -3, 39.88, 2.261, 42

---

Entry 8:
For MgMn9CdO10, the PBE+U geometry in the Materials Project gives the theoretical X-ray diffraction stick pattern in this record (Cu Ka).
Intensities are scaled so that the largest is 100.

Crystal structure
a b c (Å): 5.939 6.134 8.977
angles (deg): 82.54 70.79 66.89
Space group P1 (No. 1)
Symmetry-distinct sites (fractional):
Mg 0.000 0.000 0.000 x1
Mn 0.096 0.795 0.705 x1
Mn 0.131 0.325 0.591 x1
Mn 0.242 0.929 0.356 x1
Mn 0.344 0.453 0.185 x1
Mn 0.535 0.449 0.811 x1
Mn 0.598 0.930 0.645 x1
Mn 0.722 0.323 0.407 x1
Mn 0.799 0.794 0.296 x1
Mn 0.851 0.528 0.999 x1
Cd 0.479 0.997 0.000 x1
O 0.027 0.481 0.377 x1
O 0.141 0.631 0.997 x1
O 0.214 0.038 0.783 x1
O 0.405 0.484 0.620 x1
O 0.475 0.050 0.439 x1
O 0.568 0.614 0.250 x1
O 0.680 0.293 0.999 x1
O 0.819 0.614 0.749 x1
O 0.913 0.052 0.562 x1
O 0.996 0.034 0.218 x1

Main lines, by angle (2θ from 15° to 90°):
index, 2theta, d_spacing, Rel. int.
1 2 1, 29.87, 2.992, 35
0 2 0, 31.70, 2.823, 74
1 1 -2, 31.82, 2.812, 69
2 0 1, 32.79, 2.731, 58
0 2 -1, 33.48, 2.676, 43
0 1 -3, 35.53, 2.527, 35
2 2 0, 37.27, 2.413, 51
1 -1 3, 37.89, 2.374, 100
2 1 4, 44.36, 2.042, 31
3 2 2, 47.96, 1.897, 29

---

Entry 9:
For MgMn3Cd2O8, the PBE+U geometry in the Materials Project gives the theoretical X-ray diffraction stick pattern in this record (Cu Ka).
Intensities are scaled so that the largest is 100.

Crystal structure
a b c (Å): 5.337 5.850 6.232
angles (deg): 71.14 89.52 63.67
Space group P1 (No. 1)
Symmetry-distinct sites (fractional):
Mg 0.000 0.000 0.000 x1
Mn 0.287 0.453 0.130 x1
Mn 0.289 0.444 0.636 x1
Mn 0.736 0.554 0.864 x1
Cd 0.583 0.841 0.288 x1
Cd 0.957 0.084 0.501 x1
O 0.235 0.250 0.951 x1
O 0.274 0.683 0.308 x1
O 0.299 0.736 0.859 x1
O 0.300 0.200 0.419 x1
O 0.699 0.312 0.717 x1
O 0.703 0.261 0.152 x1
O 0.874 0.694 0.052 x1
O 0.889 0.697 0.596 x1

Main lines, by angle (2θ from 15° to 90°):
index, 2theta, d_spacing, Rel. int.
1 0 -1, 22.23, 3.998, 55
0 1 -1, 27.67, 3.224, 80
-1 1 1, 30.94, 2.890, 60
1 2 1, 31.25, 2.862, 50
1 -1 0, 31.87, 2.808, 57
1 2 0, 32.40, 2.763, 69
1 1 2, 33.21, 2.698, 97
1 0 -2, 33.49, 2.676, 90
2 1 0, 33.59, 2.668, 100
0 2 2, 38.70, 2.327, 63

---

Entry 10:
For MgMnCd6O8, the PBE+U geometry in the Materials Project gives the theoretical X-ray diffraction stick pattern in this record (Cu Ka).
Intensities are scaled so that the largest is 100.

Crystal structure
a b c (Å): 9.421 9.421 9.421
angles (deg): 90.00 90.00 90.00
Space group Fm-3m (No. 225)
Symmetry-distinct sites (fractional):
Mg 0.000 0.000 0.000 x4
Mn 0.000 0.000 0.500 x4
Cd 0.000 0.250 0.250 x24
O 0.000 0.000 0.245 x24
O 0.250 0.250 0.250 x8

Main lines, by angle (2θ from 15° to 90°):
index, 2theta, d_spacing, Rel. int.
2 0 0, 18.84, 4.711, 16
2 2 0, 26.76, 3.331, 14
2 2 2, 32.93, 2.720, 100
4 0 0, 38.21, 2.355, 100
4 2 0, 42.93, 2.107, 8
4 2 2, 47.26, 1.923, 6
4 4 0, 55.15, 1.665, 63
6 2 2, 65.75, 1.420, 41
4 4 4, 69.07, 1.360, 20
8 0 0, 81.78, 1.178, 9

---

Entry 11:
For MgMn9CdO10, the PBE+U geometry in the Materials Project gives the theoretical X-ray diffraction stick pattern in this record (Cu Ka).
Intensities are scaled so that the largest is 100.

Crystal structure
a b c (Å): 5.809 5.983 8.969
angles (deg): 70.54 82.92 67.83
Space group P1 (No. 1)
Symmetry-distinct sites (fractional):
Mg 0.000 0.000 0.000 x1
Mn 0.094 0.481 0.380 x1
Mn 0.094 0.861 0.621 x1
Mn 0.143 0.008 0.276 x1
Mn 0.146 0.282 0.725 x1
Mn 0.187 0.464 0.001 x1
Mn 0.599 0.459 0.202 x1
Mn 0.599 0.662 0.800 x1
Mn 0.620 0.919 0.413 x1
Mn 0.621 0.331 0.589 x1
Cd 0.535 0.002 0.003 x1
O 0.342 0.716 0.001 x1
O 0.345 0.253 0.252 x1
O 0.346 0.505 0.750 x1
O 0.410 0.652 0.387 x1
O 0.412 0.037 0.615 x1
O 0.876 0.196 0.415 x1
O 0.876 0.380 0.001 x1
O 0.877 0.611 0.586 x1
O 0.903 0.844 0.223 x1
O 0.905 0.067 0.777 x1

Main lines, by angle (2θ from 15° to 90°):
index, 2theta, d_spacing, Rel. int.
1 -1 1, 31.48, 2.842, 20
0 0 3, 31.74, 2.819, 19
1 1 3, 32.18, 2.782, 51
0 2 1, 32.31, 2.770, 23
2 0 0, 33.31, 2.690, 32
0 2 0, 34.05, 2.633, 33
2 1 -1, 34.94, 2.568, 18
2 2 1, 36.75, 2.445, 23
1 -1 2, 38.17, 2.358, 100
2 2 0, 38.32, 2.349, 39